# 1
Computed XRD peak list
Compound: Nb2TlRh
Radiation: Cu Kα, 1.54184 Å
Structure: the PBE geometry in Alexandria

Principal peaks in the range 10° ≤ 2θ ≤ 90°, low angle first:
Position (°2θ), I (rel.), (hkl)
23.15, 82, 1 1 1
26.79, 65, 2 0 0
38.25, 1000, 2 2 0
45.18, 46, 3 1 1
47.31, 20, 2 2 2
55.20, 171, 4 0 0
60.65, 20, 3 3 1
62.40, 28, 4 2 0
69.14, 346, 4 2 2
81.87, 109, 4 4 0

Structural model:
```
data_Nb2TlRh
_cell_length_a 6.6557
_cell_length_b 6.6557
_cell_length_c 6.6557
_cell_angle_alpha 90.00
_cell_angle_beta 90.00
_cell_angle_gamma 90.00
_symmetry_space_group_name_H-M 'F m -3 m'
_symmetry_Int_Tables_number 225
_symmetry_space_group_name_Hall '-F 4 2 3'
loop_
_atom_site_label
_atom_site_type_symbol
_atom_site_fract_x
_atom_site_fract_y
_atom_site_fract_z
Nb1 Nb 0.2500 0.2500 0.2500
Tl1 Tl 0.0000 0.0000 0.0000
Rh1 Rh 0.0000 0.0000 0.5000
```

***

# 2
Computed XRD peak list
Compound: UGa3I8
Radiation: Cu Kα, 1.54184 Å
Structure: the PBE geometry in Alexandria

Principal peaks in the range 10° ≤ 2θ ≤ 90°, low angle first:
Position (°2θ), I (rel.), (hkl)
11.98, 593, 1 1 0
15.31, 270, 1 1 1
23.25, 226, 0 2 2
24.09, 203, 2 2 0
26.56, 526, 0 4 0
27.81, 1000, 2 0 2
38.67, 182, 0 0 4
38.83, 718, 2 4 2
47.51, 229, 0 4 4
49.33, 180, 4 4 0

Structural model:
```
data_UGa3I8
_cell_length_a 8.8500
_cell_length_b 13.4256
_cell_length_c 9.3144
_cell_angle_alpha 90.00
_cell_angle_beta 90.00
_cell_angle_gamma 90.00
_symmetry_space_group_name_H-M 'C 2 2 2'
_symmetry_Int_Tables_number 21
loop_
_symmetry_equiv_pos_as_xyz
'x,y,z'
'-x,-y,z'
'x,-y,-z'
'-x,y,-z'
'x+1/2,y+1/2,z'
'-x+1/2,-y+1/2,z'
'x+1/2,-y+1/2,-z'
'-x+1/2,y+1/2,-z'
loop_
_atom_site_label
_atom_site_type_symbol
_atom_site_fract_x
_atom_site_fract_y
_atom_site_fract_z
U1 U 0.0000 0.0000 0.0000
Ga1 Ga 0.0000 0.0000 0.5000
Ga2 Ga 0.2500 0.2500 0.2846
I1 I 0.0000 0.2181 0.0000
I2 I 0.0000 0.2425 0.5000
I3 I 0.2342 0.0069 0.2281
```

***

# 3
Computed XRD peak list
Compound: Tl3SeO7
Radiation: Cu Kα, 1.54184 Å
Structure: the PBE geometry in Alexandria

Principal peaks in the range 10° ≤ 2θ ≤ 90°, low angle first:
Position (°2θ), I (rel.), (hkl)
15.61, 254, 1 0 1
24.42, 177, 0 1 2
25.18, 1000, 0 2 1
31.53, 403, 2 0 2
32.13, 218, 2 1 1
34.35, 171, 3 0 0
37.41, 172, 1 2 2
39.87, 168, 2 2 0
48.09, 223, 0 3 3
55.82, 162, 2 3 2

Structural model:
```
data_Tl3SeO7
_cell_length_a 9.0444
_cell_length_b 9.0444
_cell_length_c 8.2360
_cell_angle_alpha 90.00
_cell_angle_beta 90.00
_cell_angle_gamma 120.00
_symmetry_space_group_name_H-M 'R 3 m'
_symmetry_Int_Tables_number 160
_symmetry_space_group_name_Hall 'R 3 -2"'
loop_
_atom_site_label
_atom_site_type_symbol
_atom_site_fract_x
_atom_site_fract_y
_atom_site_fract_z
Tl1 Tl 0.1974 0.3949 0.0000
Se1 Se 0.0000 0.0000 0.7154
O1 O 0.0000 0.0000 0.5067
O2 O 0.0925 0.5463 0.8833
O3 O 0.1030 0.2060 0.7702
```

***

# 4
Computed XRD peak list
Compound: LaCeNd4
Radiation: Cu Kα, 1.54184 Å
Structure: the PBE geometry in Alexandria

Principal peaks in the range 10° ≤ 2θ ≤ 90°, low angle first:
Position (°2θ), I (rel.), (hkl)
30.84, 1000, 0 2 0
44.18, 176, 1 0 -4
54.81, 225, 0 3 3
54.86, 63, 1 3 -1
61.32, 148, 2 2 0
64.18, 63, 0 4 0
72.92, 78, 1 1 -7
78.60, 71, 2 3 3
86.76, 56, 2 4 0
89.29, 57, 0 4 6

Structural model:
```
data_LaCeNd4
_cell_length_a 3.5421
_cell_length_b 5.8009
_cell_length_c 10.0592
_cell_angle_alpha 90.00
_cell_angle_beta 90.04
_cell_angle_gamma 90.00
_symmetry_space_group_name_H-M 'P 1 m 1'
_symmetry_Int_Tables_number 6
loop_
_symmetry_equiv_pos_as_xyz
'x,y,z'
'x,-y,z'
loop_
_atom_site_label
_atom_site_type_symbol
_atom_site_fract_x
_atom_site_fract_y
_atom_site_fract_z
La1 La 0.0000 0.0000 0.0000
Ce1 Ce 0.9992 0.5000 0.5069
Nd1 Nd 0.4983 0.0000 0.3394
Nd2 Nd 0.4988 0.5000 0.8348
Nd3 Nd 0.9973 0.0000 0.6645
Nd4 Nd 0.9969 0.5000 0.1800
```

***

# 5
Computed XRD peak list
Compound: DySi2Pt7Pb2
Radiation: Cu Kα, 1.54184 Å
Structure: the PBE geometry in Alexandria

Principal peaks in the range 10° ≤ 2θ ≤ 90°, low angle first:
Position (°2θ), I (rel.), (hkl)
11.66, 397, 0 0 2
23.44, 446, 0 0 4
29.42, 345, 0 0 5
32.17, 683, 2 0 0
33.78, 435, 0 2 2
36.34, 1000, 0 2 3
36.45, 333, 2 0 -4
43.69, 553, 2 0 4
45.31, 913, 2 2 -1
66.01, 302, 0 4 0

Structural model:
```
data_DySi2Pt7Pb2
_cell_length_a 5.6593
_cell_length_b 5.6624
_cell_length_c 15.4287
_cell_angle_alpha 90.00
_cell_angle_beta 100.30
_cell_angle_gamma 90.00
_symmetry_space_group_name_H-M 'C 1 2/m 1'
_symmetry_Int_Tables_number 12
loop_
_symmetry_equiv_pos_as_xyz
'x,y,z'
'-x,-y,-z'
'-x,y,-z'
'x,-y,z'
'x+1/2,y+1/2,z'
'-x+1/2,-y+1/2,-z'
'-x+1/2,y+1/2,-z'
'x+1/2,-y+1/2,z'
loop_
_atom_site_label
_atom_site_type_symbol
_atom_site_fract_x
_atom_site_fract_y
_atom_site_fract_z
Dy1 Dy 0.0000 0.0000 0.0000
Si1 Si 0.1133 0.5000 0.2326
Pt1 Pt 0.0000 0.5000 0.0000
Pt2 Pt 0.1794 0.2501 0.8547
Pt3 Pt 0.1920 0.5000 0.3851
Pb1 Pb 0.2084 0.0000 0.4183
```

***

# 6
Computed XRD peak list
Compound: BaSr4Be
Radiation: Cu Kα, 1.54184 Å
Structure: the PBE geometry in Alexandria

Principal peaks in the range 10° ≤ 2θ ≤ 90°, low angle first:
Position (°2θ), I (rel.), (hkl)
14.17, 255, 1 1 1
16.37, 161, 2 0 0
23.23, 173, 2 2 0
27.32, 1000, 3 1 1
28.56, 504, 2 2 2
43.42, 376, 5 1 1
47.50, 313, 4 4 0
55.66, 134, 5 3 3
56.36, 219, 6 2 2
66.30, 238, 5 5 3

Structural model:
```
data_BaSr4Be
_cell_length_a 10.8281
_cell_length_b 10.8281
_cell_length_c 10.8281
_cell_angle_alpha 90.00
_cell_angle_beta 90.00
_cell_angle_gamma 90.00
_symmetry_space_group_name_H-M 'F -4 3 m'
_symmetry_Int_Tables_number 216
_symmetry_space_group_name_Hall 'F -4 2 3'
loop_
_atom_site_label
_atom_site_type_symbol
_atom_site_fract_x
_atom_site_fract_y
_atom_site_fract_z
Ba1 Ba 0.0000 0.0000 0.0000
Sr1 Sr 0.1246 0.1246 0.3754
Be1 Be 0.2500 0.2500 0.7500
```

***

# 7
Computed XRD peak list
Compound: ZnCu5O8
Radiation: Cu Kα, 1.54184 Å
Structure: the PBE geometry in Alexandria

Principal peaks in the range 10° ≤ 2θ ≤ 90°, low angle first:
Position (°2θ), I (rel.), (hkl)
18.38, 93, 1 1 1
30.24, 292, 2 2 0
35.62, 1000, 3 1 1
37.26, 120, 2 2 2
43.30, 171, 4 0 0
53.72, 103, 4 2 2
57.27, 358, 5 1 1
62.89, 424, 4 4 0
74.42, 103, 5 3 3
75.43, 60, 6 2 2

Structural model:
```
data_ZnCu5O8
_cell_length_a 8.3589
_cell_length_b 8.3589
_cell_length_c 8.3589
_cell_angle_alpha 90.00
_cell_angle_beta 90.00
_cell_angle_gamma 90.00
_symmetry_space_group_name_H-M 'F -4 3 m'
_symmetry_Int_Tables_number 216
_symmetry_space_group_name_Hall 'F -4 2 3'
loop_
_atom_site_label
_atom_site_type_symbol
_atom_site_fract_x
_atom_site_fract_y
_atom_site_fract_z
Zn1 Zn 0.0000 0.0000 0.0000
Cu1 Cu 0.1247 0.1247 0.3753
Cu2 Cu 0.2500 0.2500 0.7500
O1 O 0.1153 0.1153 0.6153
O2 O 0.1362 0.1362 0.1362
```

***

# 8
Computed XRD peak list
Compound: ErIn2S4
Radiation: Cu Kα, 1.54184 Å
Structure: the PBE geometry in Alexandria

Principal peaks in the range 10° ≤ 2θ ≤ 90°, low angle first:
Position (°2θ), I (rel.), (hkl)
13.80, 272, 1 0 1
22.33, 272, 1 1 2
26.05, 1000, 1 2 1
26.30, 430, 1 0 3
26.58, 499, 2 1 1
31.87, 348, 2 2 0
41.49, 320, 0 1 5
42.08, 257, 3 2 1
44.77, 206, 0 4 0
45.58, 783, 2 2 4

Structural model:
```
data_ErIn2S4
_cell_length_a 7.7972
_cell_length_b 8.0975
_cell_length_c 11.2856
_cell_angle_alpha 90.00
_cell_angle_beta 90.00
_cell_angle_gamma 90.00
_symmetry_space_group_name_H-M 'I m m a'
_symmetry_Int_Tables_number 74
_symmetry_space_group_name_Hall '-I 2b 2'
loop_
_atom_site_label
_atom_site_type_symbol
_atom_site_fract_x
_atom_site_fract_y
_atom_site_fract_z
Er1 Er 0.0000 0.0000 0.0000
In1 In 0.0000 0.2500 0.3660
In2 In 0.2500 0.2500 0.7500
S1 S 0.0000 0.0220 0.7577
S2 S 0.2357 0.2500 0.9933
```

***

# 9
Computed XRD peak list
Compound: Sm12YHo2
Radiation: Cu Kα, 1.54184 Å
Structure: the PBE geometry in Alexandria

Principal peaks in the range 10° ≤ 2θ ≤ 90°, low angle first:
Position (°2θ), I (rel.), (hkl)
28.81, 268, 2 0 4
29.59, 458, 0 2 7
30.32, 841, 2 2 2
31.12, 706, 0 4 0
32.81, 1000, 0 2 8
36.72, 337, 2 2 6
47.64, 202, 2 0 11
56.45, 201, 0 6 8
58.00, 235, 2 4 11
61.06, 201, 4 4 0

Structural model:
```
data_Sm12YHo2
_cell_length_a 7.1478
_cell_length_b 11.4969
_cell_length_c 24.8377
_cell_angle_alpha 90.00
_cell_angle_beta 90.00
_cell_angle_gamma 90.00
_symmetry_space_group_name_H-M 'C m m e'
_symmetry_Int_Tables_number 67
_symmetry_space_group_name_Hall '-C 2a 2'
loop_
_atom_site_label
_atom_site_type_symbol
_atom_site_fract_x
_atom_site_fract_y
_atom_site_fract_z
Sm1 Sm 0.0000 0.0010 0.0765
Sm2 Sm 0.0000 0.0228 0.5602
Sm3 Sm 0.2324 0.2500 0.4142
Sm4 Sm 0.2491 0.2500 0.8702
Sm5 Sm 0.2500 0.0000 0.1997
Sm6 Sm 0.2500 0.0000 0.3255
Y1 Y 0.0000 0.2500 0.9995
Ho1 Ho 0.0000 0.2500 0.2663
Ho2 Ho 0.0000 0.2500 0.7295
```

***

# 10
Computed XRD peak list
Compound: Tm2MnGa3Pt4
Radiation: Cu Kα, 1.54184 Å
Structure: the PBE geometry in Alexandria

Principal peaks in the range 10° ≤ 2θ ≤ 90°, low angle first:
Position (°2θ), I (rel.), (hkl)
23.45, 207, 0 0 3
32.49, 578, 1 0 3
35.35, 1000, 1 1 2
45.17, 710, 2 0 0
45.82, 363, 1 0 5
51.51, 142, 2 0 3
56.74, 158, 2 1 3
65.83, 162, 2 2 0
66.31, 279, 2 1 5
76.99, 210, 3 1 2

Structural model:
```
data_Tm2MnGa3Pt4
_cell_length_a 4.0129
_cell_length_b 4.0129
_cell_length_c 11.3832
_cell_angle_alpha 90.00
_cell_angle_beta 90.00
_cell_angle_gamma 90.00
_symmetry_space_group_name_H-M 'P -4 m 2'
_symmetry_Int_Tables_number 115
loop_
_symmetry_equiv_pos_as_xyz
'x,y,z'
'y,-x,-z'
'-x,-y,z'
'-y,x,-z'
'-x,y,z'
'-y,-x,-z'
'x,-y,z'
'y,x,-z'
loop_
_atom_site_label
_atom_site_type_symbol
_atom_site_fract_x
_atom_site_fract_y
_atom_site_fract_z
Tm1 Tm 0.0000 0.5000 0.2479
Mn1 Mn 0.5000 0.5000 0.0000
Ga1 Ga 0.0000 0.0000 0.0000
Ga2 Ga 0.0000 0.5000 0.6346
Pt1 Pt 0.0000 0.0000 0.5000
Pt2 Pt 0.0000 0.5000 0.8509
Pt3 Pt 0.5000 0.5000 0.5000
```

***

# 11
Computed XRD peak list
Compound: FeSi5
Radiation: Cu Kα, 1.54184 Å
Structure: the PBE geometry in Alexandria

Principal peaks in the range 10° ≤ 2θ ≤ 90°, low angle first:
Position (°2θ), I (rel.), (hkl)
13.22, 655, 0 0 1
21.74, 232, 2 0 0
39.49, 264, 1 1 1
40.41, 501, 0 0 3
41.05, 283, 4 0 -2
41.36, 287, 2 0 2
41.71, 1000, 1 1 -2
47.62, 611, 3 1 0
54.47, 171, 4 0 -4
86.38, 171, 7 1 -1

Structural model:
```
data_FeSi5
_cell_length_a 8.9936
_cell_length_b 2.6767
_cell_length_c 7.3677
_cell_angle_alpha 90.00
_cell_angle_beta 114.61
_cell_angle_gamma 90.00
_symmetry_space_group_name_H-M 'C 1 m 1'
_symmetry_Int_Tables_number 8
loop_
_symmetry_equiv_pos_as_xyz
'x,y,z'
'x,-y,z'
'x+1/2,y+1/2,z'
'x+1/2,-y+1/2,z'
loop_
_atom_site_label
_atom_site_type_symbol
_atom_site_fract_x
_atom_site_fract_y
_atom_site_fract_z
Fe1 Fe 0.0000 0.0000 0.0000
Si1 Si 0.0508 0.5000 0.7612
Si2 Si 0.1285 0.5000 0.2956
Si3 Si 0.2726 0.0000 0.7178
Si4 Si 0.3013 0.0000 0.0797
Si5 Si 0.4320 0.5000 0.4267
```

***

# 12
Computed XRD peak list
Compound: CaDy6Ho6
Radiation: Cu Kα, 1.54184 Å
Structure: the PBE geometry in Alexandria

Principal peaks in the range 10° ≤ 2θ ≤ 90°, low angle first:
Position (°2θ), I (rel.), (hkl)
26.73, 250, 1 1 0
30.96, 387, 2 0 0
31.09, 608, 1 1 2
31.50, 233, 0 0 4
34.84, 1000, 2 0 2
35.21, 392, 1 0 4
52.89, 249, 2 1 4
55.06, 290, 2 2 0
55.83, 227, 1 1 6
64.83, 176, 2 2 4

Structural model:
```
data_CaDy6Ho6
_cell_length_a 6.6711
_cell_length_b 6.6711
_cell_length_c 11.3619
_cell_angle_alpha 90.00
_cell_angle_beta 90.00
_cell_angle_gamma 120.00
_symmetry_space_group_name_H-M 'P 6/m m m'
_symmetry_Int_Tables_number 191
_symmetry_space_group_name_Hall '-P 6 2'
loop_
_atom_site_label
_atom_site_type_symbol
_atom_site_fract_x
_atom_site_fract_y
_atom_site_fract_z
Ca1 Ca 0.0000 0.0000 0.0000
Dy1 Dy 0.0000 0.0000 0.3496
Dy2 Dy 0.3333 0.6667 0.0000
Dy3 Dy 0.3333 0.6667 0.5000
Ho1 Ho 0.0000 0.5000 0.2469
```

***

# 13
Computed XRD peak list
Compound: Li5Ga2Ag4
Radiation: Cu Kα, 1.54184 Å
Structure: the PBE geometry in Alexandria

Principal peaks in the range 10° ≤ 2θ ≤ 90°, low angle first:
Position (°2θ), I (rel.), (hkl)
11.92, 1000, 1 0 0
22.48, 899, 1 0 -2
23.51, 587, 1 0 2
23.97, 627, 2 0 0
39.02, 682, 1 1 -2
39.66, 876, 1 1 2
39.80, 358, 0 0 4
39.95, 779, 2 1 0
40.66, 325, 3 0 -2
42.47, 327, 3 0 2

Structural model:
```
data_Li5Ga2Ag4
_cell_length_a 7.4346
_cell_length_b 2.8423
_cell_length_c 9.0707
_cell_angle_alpha 90.00
_cell_angle_beta 92.83
_cell_angle_gamma 90.00
_symmetry_space_group_name_H-M 'P 1 2/m 1'
_symmetry_Int_Tables_number 10
loop_
_symmetry_equiv_pos_as_xyz
'x,y,z'
'-x,-y,-z'
'-x,y,-z'
'x,-y,z'
loop_
_atom_site_label
_atom_site_type_symbol
_atom_site_fract_x
_atom_site_fract_y
_atom_site_fract_z
Li1 Li 0.0000 0.0000 0.0000
Li2 Li 0.0542 0.0000 0.3375
Li3 Li 0.3372 0.0000 0.8578
Ga1 Ga 0.4214 0.0000 0.3569
Ag1 Ag 0.2485 0.5000 0.5834
Ag2 Ag 0.2979 0.5000 0.1178
```